(1)
This entry pairs a crystal structure of Ti11Ga9Rh4 with its theoretical XRD peak list. Radiation: Cu Kα (weighted mean of Kα1 and Kα2). Structure: a DFT-relaxed cell (GGA-PBE, Alexandria).
Neutral-atom scattering factors, no anomalous dispersion.

Crystal structure
```
data_Ti11Ga9Rh4
_symmetry_space_group_name_H-M 'C m m m'
_symmetry_Int_Tables_number 65
_symmetry_space_group_name_Hall '-C 2 2'
_cell_length_a 12.780
_cell_length_b 20.030
_cell_length_c 2.969
_cell_angle_alpha 90.00
_cell_angle_beta 90.00
_cell_angle_gamma 90.00
loop_
_atom_site_label
_atom_site_type_symbol
_atom_site_fract_x
_atom_site_fract_y
_atom_site_fract_z
Ti1 Ti 0.000 0.000 0.000
Ti2 Ti 0.000 0.167 0.000
Ti3 Ti 0.000 0.377 0.000
Ti4 Ti 0.210 0.500 0.000
Ti5 Ti 0.223 0.180 0.000
Ga1 Ga 0.000 0.500 0.500
Ga2 Ga 0.104 0.269 0.500
Ga3 Ga 0.132 0.078 0.500
Rh1 Rh 0.162 0.399 0.500
```

Top 12 peaks for 2θ from 10° to 80°, low angle first:
hkl  Position (°2θ)  I (rel.)
0 0 1  30.1  26.4
2 4 1  37.9  36.6
4 6 0  39.0  95.1
3 3 1  39.4  32.0
0 6 1  40.7  100.0
1 9 0  41.2  34.0
4 0 1  41.5  94.0
5 5 0  41.9  20.7
6 2 0  43.5  34.9
0 0 2  62.6  27.9
4 6 2  76.3  24.1
9 5 1  78.4  18.4



(2)
This entry pairs a crystal structure of NiP2SeN with its theoretical XRD peak list. Radiation: Cu Kα (weighted mean of Kα1 and Kα2). Structure: a DFT-relaxed cell (GGA-PBE, Alexandria).
Neutral-atom scattering factors, no anomalous dispersion.

Crystal structure
```
data_NiP2SeN
_symmetry_space_group_name_H-M 'C 1 m 1'
_symmetry_Int_Tables_number 8
_cell_length_a 7.928
_cell_length_b 3.230
_cell_length_c 6.798
_cell_angle_alpha 90.00
_cell_angle_beta 113.29
_cell_angle_gamma 90.00
loop_
_symmetry_equiv_pos_as_xyz
'x,y,z'
'x,-y,z'
'x+1/2,y+1/2,z'
'x+1/2,-y+1/2,z'
loop_
_atom_site_label
_atom_site_type_symbol
_atom_site_fract_x
_atom_site_fract_y
_atom_site_fract_z
Ni1 Ni 0.000 0.000 0.000
P1 P 0.008 0.000 0.463
P2 P 0.082 0.500 0.253
Se1 Se 0.151 0.500 0.855
N1 N 0.298 0.500 0.405
```

Top 12 peaks for 2θ from 10° to 80°, low angle first:
hkl  Position (°2θ)  I (rel.)
0 0 1  14.2  67.8
2 0 0  24.4  60.7
0 0 2  28.6  35.8
1 1 0  30.3  42.2
1 1 -1  31.4  14.3
2 0 1  33.0  21.1
1 1 -2  38.5  100.0
2 0 2  45.1  16.6
3 1 -2  46.7  29.0
3 1 0  46.8  53.9
1 1 -3  49.4  15.0
0 2 0  57.0  16.6



(3)
This entry pairs a crystal structure of SmSn2Rh3 with its theoretical XRD peak list. Radiation: Cu Kα (weighted mean of Kα1 and Kα2). Structure: a DFT-relaxed cell (GGA-PBE, Alexandria).
Neutral-atom scattering factors, no anomalous dispersion.

Crystal structure
```
data_SmSn2Rh3
_symmetry_space_group_name_H-M 'P -3 m 1'
_symmetry_Int_Tables_number 164
_symmetry_space_group_name_Hall '-P 3 2"'
_cell_length_a 4.5974
_cell_length_b 4.5974
_cell_length_c 6.2789
_cell_angle_alpha 90.00
_cell_angle_beta 90.00
_cell_angle_gamma 120.00
loop_
_atom_site_label
_atom_site_type_symbol
_atom_site_fract_x
_atom_site_fract_y
_atom_site_fract_z
Sm1 Sm 0.0000 0.0000 0.0000
Sn1 Sn 0.3333 0.6667 0.6868
Rh1 Rh 0.0000 0.0000 0.5000
Rh2 Rh 0.3333 0.6667 0.2596
```

Top 12 peaks for 2θ from 10° to 80°, low angle first:
hkl  Position (°2θ)  I (rel.)
1 0 1  26.5  10.0
0 1 2  36.4  100.0
1 1 0  39.2  96.0
0 0 3  43.2  4.6
0 1 3  49.2  6.7
2 0 2  54.6  31.2
0 0 4  58.8  3.9
1 1 3  59.8  10.9
1 0 4  63.7  4.9
1 2 2  69.2  30.6
3 0 0  71.0  16.8
1 1 4  73.0  12.3